(1)
Diffraction record for PaPb2F8. The powder diffractogram is calculated, not measured: it uses a structure optimized by DFT (GGA-PBE) and Cu Kα X-rays.
Intensities are scaled so that the largest is 100.

Structure:
```
data_PaPb2F8
_chemical_formula_sum 'Pa2 Pb4 F16'
_cell_length_a 3.9909
_cell_length_b 6.6316
_cell_length_c 12.2371
_cell_angle_alpha 90.00
_cell_angle_beta 90.00
_cell_angle_gamma 90.00
_symmetry_space_group_name_H-M 'I m m m'
_symmetry_Int_Tables_number 71
_symmetry_space_group_name_Hall '-I 2 2'
loop_
_atom_site_label
_atom_site_type_symbol
_atom_site_fract_x
_atom_site_fract_y
_atom_site_fract_z
Pa1 Pa 0.0000 0.0000 0.0000
Pb1 Pb 0.0000 0.0000 0.3370
F1 F 0.0000 0.1890 0.5000
F2 F 0.0000 0.2533 0.1398
F3 F 0.0000 0.5000 0.3893
```

The 6 most intense peaks (2θ = 10–80°), by angle:
2θ (°), Rel. int., h k l
25.64, 100, 0 1 3
26.06, 99, 1 1 0
26.89, 39, 0 2 0
31.36, 50, 1 0 3
41.77, 88, 1 2 3
52.22, 36, 1 1 6



(2)
Diffraction record for PaPb2F11. The powder diffractogram is calculated, not measured: it uses a structure optimized by DFT (GGA-PBE) and Cu Kα X-rays.
Intensities are scaled so that the largest is 100.

Structure:
```
data_PaPb2F11
_chemical_formula_sum 'Pa4 Pb8 F44'
_cell_length_a 8.2468
_cell_length_b 10.5887
_cell_length_c 11.3356
_cell_angle_alpha 90.00
_cell_angle_beta 90.00
_cell_angle_gamma 90.00
_symmetry_space_group_name_H-M 'I b a m'
_symmetry_Int_Tables_number 72
_symmetry_space_group_name_Hall '-I 2 2c'
loop_
_atom_site_label
_atom_site_type_symbol
_atom_site_fract_x
_atom_site_fract_y
_atom_site_fract_z
Pa1 Pa 0.0000 0.0000 0.2500
Pb1 Pb 0.1349 0.3185 0.0000
F1 F 0.0000 0.5000 0.0000
F2 F 0.0916 0.1668 0.1492
F3 F 0.1348 0.2788 0.5000
F4 F 0.2055 0.0646 0.3597
```

The 6 most intense peaks (2θ = 10–80°), by angle:
2θ (°), Rel. int., h k l
20.78, 100, 1 1 2
21.43, 36, 1 2 1
22.99, 71, 0 2 2
24.46, 60, 2 1 1
27.47, 39, 1 3 0
42.33, 44, 1 3 4



(3)
Diffraction record for PaTl2PbF8. The powder diffractogram is calculated, not measured: it uses a structure optimized by DFT (GGA-PBE) and Cu Kα X-rays.
Intensities are scaled so that the largest is 100.

Structure:
```
data_PaTl2PbF8
_chemical_formula_sum 'Pa2 Tl4 Pb2 F16'
_cell_length_a 6.2662
_cell_length_b 6.2662
_cell_length_c 11.6171
_cell_angle_alpha 90.00
_cell_angle_beta 90.00
_cell_angle_gamma 90.00
_symmetry_space_group_name_H-M 'I -4 m 2'
_symmetry_Int_Tables_number 119
_symmetry_space_group_name_Hall 'I -4 -2'
loop_
_atom_site_label
_atom_site_type_symbol
_atom_site_fract_x
_atom_site_fract_y
_atom_site_fract_z
Pa1 Pa 0.0000 0.0000 0.0000
Tl1 Tl 0.0000 0.0000 0.5000
Tl2 Tl 0.0000 0.5000 0.2500
Pb1 Pb 0.0000 0.5000 0.7500
F1 F 0.2032 0.2268 0.8837
```

The 6 most intense peaks (2θ = 10–80°), by angle:
2θ (°), Rel. int., h k l
25.28, 100, 1 1 2
28.49, 25, 2 0 0
40.73, 19, 2 2 0
42.44, 35, 2 0 4
48.54, 35, 3 1 2
51.51, 15, 1 1 6



(4)
Diffraction record for Pu2PaF11. The powder diffractogram is calculated, not measured: it uses a structure optimized by DFT (GGA-PBE) and Cu Kα X-rays.
Intensities are scaled so that the largest is 100.

Structure:
```
data_Pu2PaF11
_chemical_formula_sum 'Pu8 Pa4 F44'
_cell_length_a 8.3960
_cell_length_b 10.6627
_cell_length_c 11.3226
_cell_angle_alpha 90.00
_cell_angle_beta 90.00
_cell_angle_gamma 90.00
_symmetry_space_group_name_H-M 'I b a m'
_symmetry_Int_Tables_number 72
_symmetry_space_group_name_Hall '-I 2 2c'
loop_
_atom_site_label
_atom_site_type_symbol
_atom_site_fract_x
_atom_site_fract_y
_atom_site_fract_z
Pu1 Pu 0.1421 0.1813 0.0000
Pa1 Pa 0.0000 0.5000 0.2500
F1 F 0.0000 0.0000 0.0000
F2 F 0.0887 0.3343 0.1455
F3 F 0.1279 0.2184 0.5000
F4 F 0.2078 0.4331 0.3595
```

The 6 most intense peaks (2θ = 10–80°), by angle:
2θ (°), Rel. int., h k l
20.68, 100, 1 1 2
21.24, 50, 1 2 1
22.91, 78, 0 2 2
24.10, 74, 2 1 1
33.03, 34, 2 1 3
44.19, 42, 3 3 2